Starting from a DFT-relaxed cell (PBE, the Materials Project), the XRD peak list of Ba5LiMo2N7Cl2 was computed for a wavelength of 1.5418 Å.
Peak positions follow from Bragg's law for the DFT cell and can differ from measured ones.

The 10 most intense peaks (5 to 70 degrees two-theta), low angle first:
- (0 0 1), 11.315 Å, I = 75
- (2 1 1), 3.808 Å, I = 69
- (1 0 -3), 3.689 Å, I = 46
- (3 0 1), 3.456 Å, I = 32
- (1 1 -3), 3.163 Å, I = 31
- (3 1 -1), 3.143 Å, I = 32
- (0 2 0), 3.072 Å, I = 100
- (3 1 -2), 2.886 Å, I = 71
- (2 1 3), 2.697 Å, I = 46
- (1 2 -3), 2.361 Å, I = 39

a b c (Å): 11.269 6.143 11.384
angles (deg): 90.00 95.54 90.00
Fractional positions:
Ba: 0.004 0.250 0.121
Ba: 0.125 0.750 0.561
Ba: 0.297 0.750 0.298
Ba: 0.306 0.250 0.884
Ba: 0.482 0.750 0.631
Ba: 0.518 0.250 0.369
Ba: 0.694 0.750 0.116
Ba: 0.703 0.250 0.702
Ba: 0.875 0.250 0.439
Ba: 0.996 0.750 0.879
Li: 0.170 0.250 0.375
Li: 0.830 0.750 0.625
Mo: 0.027 0.250 0.726
Mo: 0.325 0.250 0.585
Mo: 0.675 0.750 0.415
Mo: 0.973 0.750 0.274
N: 0.059 0.504 0.326
N: 0.059 0.996 0.326
N: 0.062 0.250 0.890
N: 0.180 0.250 0.663
N: 0.331 0.007 0.489
N: 0.331 0.493 0.489
N: 0.451 0.250 0.704
N: 0.549 0.750 0.296
N: 0.669 0.507 0.511
N: 0.669 0.993 0.511
N: 0.820 0.750 0.337
N: 0.938 0.750 0.110
N: 0.941 0.004 0.674
N: 0.941 0.496 0.674
Cl: 0.289 0.750 0.858
Cl: 0.295 0.250 0.167
Cl: 0.705 0.750 0.833
Cl: 0.711 0.250 0.142